Entry 1:
Starting from DFT lattice parameters and positions (GGA+U), the X-ray diffraction stick pattern of AlCo2O4 was computed for Cu Kα (λ = 1.5418 Å).
Intensities are scaled so that the largest is 100.

Unit cell a=5.813 b=5.813 c=5.813 alpha=119.59 beta=118.83 gamma=91.37
Sites, in units of the cell vectors:
1 Al 0.500 0.000 0.000
2 Al 0.500 0.500 0.500
3 Co 0.000 0.000 0.000
4 Co 0.122 0.372 0.750
5 Co 0.500 0.000 0.500
6 Co 0.878 0.628 0.250
7 O 0.268 0.253 0.484
8 O 0.268 0.784 0.016
9 O 0.270 0.238 0.032
10 O 0.293 0.762 0.532
11 O 0.707 0.238 0.468
12 O 0.730 0.762 0.968
13 O 0.732 0.216 0.984
14 O 0.732 0.747 0.516

Peak list (10 most intense, 2θ from 15° to 90°, low angle first)
two_theta	I_rel
30.6	34
30.8	57
35.8	100
36.0	43
36.6	65
43.5	19
57.5	18
57.8	30
59.0	22
64.1	59

***

Entry 2:
Starting from DFT lattice parameters and positions (GGA+U), the X-ray diffraction stick pattern of AlCo2O4 was computed for Cu Kα (λ = 1.5418 Å).
Intensities are scaled so that the largest is 100.

Unit cell a=5.848 b=5.848 c=5.848 alpha=60.00 beta=60.00 gamma=60.00
Sites, in units of the cell vectors:
1 Al 0.125 0.125 0.125
2 Al 0.875 0.875 0.875
3 Co 0.000 0.500 0.500
4 Co 0.500 0.000 0.500
5 Co 0.500 0.500 0.000
6 Co 0.500 0.500 0.500
7 O 0.251 0.251 0.251
8 O 0.251 0.251 0.747
9 O 0.251 0.747 0.251
10 O 0.253 0.749 0.749
11 O 0.747 0.251 0.251
12 O 0.749 0.253 0.749
13 O 0.749 0.749 0.253
14 O 0.749 0.749 0.749

Peak list (10 most intense, 2θ from 15° to 90°, low angle first)
two_theta	I_rel
18.6	52
30.6	9
36.0	100
37.7	15
43.8	55
47.9	11
57.9	32
63.6	55
75.4	10
80.5	9

***

Entry 3:
Starting from DFT lattice parameters and positions (GGA+U), the X-ray diffraction stick pattern of AlCo3O6 was computed for Cu Kα (λ = 1.5418 Å).
Intensities are scaled so that the largest is 100.

Unit cell a=5.833 b=5.833 c=14.067 alpha=90.90 beta=90.90 gamma=59.99
Sites, in units of the cell vectors:
1 Al 0.165 0.165 0.335
2 Al 0.333 0.333 0.167
3 Al 0.667 0.667 0.833
4 Al 0.835 0.835 0.665
5 Co 0.000 0.500 0.500
6 Co 0.163 0.163 0.954
7 Co 0.170 0.170 0.706
8 Co 0.172 0.665 0.836
9 Co 0.335 0.828 0.164
10 Co 0.490 0.490 0.617
11 Co 0.500 0.000 0.500
12 Co 0.510 0.510 0.383
13 Co 0.665 0.172 0.836
14 Co 0.828 0.335 0.164
15 Co 0.830 0.830 0.294
16 Co 0.837 0.837 0.046
17 O 0.017 0.017 0.253
18 O 0.030 0.461 0.250
19 O 0.136 0.657 0.587
20 O 0.170 0.652 0.098
21 O 0.174 0.174 0.089
22 O 0.185 0.185 0.568
23 O 0.319 0.319 0.422
24 O 0.333 0.333 0.901
25 O 0.343 0.864 0.413
26 O 0.348 0.830 0.902
27 O 0.461 0.030 0.250
28 O 0.492 0.492 0.245
29 O 0.508 0.508 0.755
30 O 0.539 0.970 0.750
31 O 0.652 0.170 0.098
32 O 0.657 0.136 0.587
33 O 0.667 0.667 0.099
34 O 0.681 0.681 0.578
35 O 0.815 0.815 0.432
36 O 0.826 0.826 0.911
37 O 0.830 0.348 0.902
38 O 0.864 0.343 0.413
39 O 0.970 0.539 0.750
40 O 0.983 0.983 0.747

Peak list (10 most intense, 2θ from 15° to 90°, low angle first)
two_theta	I_rel
30.7	95
31.1	36
36.1	90
36.3	100
36.4	23
36.9	36
44.0	20
58.0	27
63.8	57
64.9	35

***

Entry 4:
Starting from DFT lattice parameters and positions (GGA+U), the X-ray diffraction stick pattern of AlCoO3 was computed for Cu Kα (λ = 1.5418 Å).
Intensities are scaled so that the largest is 100.

Unit cell a=5.291 b=5.412 c=11.855 alpha=90.19 beta=90.14 gamma=117.60
Sites, in units of the cell vectors:
1 Al 0.000 0.000 0.000
2 Al 0.005 0.002 0.502
3 Al 0.329 0.659 0.000
4 Al 0.337 0.663 0.503
5 Al 0.659 0.330 0.999
6 Al 0.697 0.363 0.493
7 Co 0.035 0.698 0.246
8 Co 0.327 0.992 0.747
9 Co 0.349 0.311 0.252
10 Co 0.642 0.002 0.251
11 Co 0.669 0.668 0.753
12 Co 0.994 0.336 0.750
13 O 0.007 0.014 0.254
14 O 0.022 0.680 0.424
15 O 0.024 0.688 0.076
16 O 0.308 0.968 0.588
17 O 0.309 0.649 0.757
18 O 0.331 0.997 0.917
19 O 0.338 0.328 0.076
20 O 0.349 0.327 0.430
21 O 0.372 0.664 0.255
22 O 0.638 0.325 0.746
23 O 0.657 0.000 0.081
24 O 0.659 0.662 0.929
25 O 0.664 0.012 0.422
26 O 0.672 0.678 0.573
27 O 0.720 0.355 0.250
28 O 0.975 0.993 0.757
29 O 0.982 0.321 0.929
30 O 0.995 0.327 0.574

Peak list (10 most intense, 2θ from 15° to 90°, low angle first)
two_theta	I_rel
30.2	100
33.2	72
34.0	69
34.8	71
37.2	15
45.9	22
57.7	26
59.1	23
60.7	21
69.3	14